Record 1
This entry pairs a crystal structure of As2I3Br4 with its computed powder diffraction line list. Radiation: copper Kα. Structure: a structure optimized by DFT (GGA-PBE).

Lattice parameters (Å, degrees): 14.066 14.066 5.743 96.95 96.95 102.29
Positions (direct):
1 As 0.122 0.351 0.210
2 As 0.351 0.122 0.710
3 As 0.649 0.878 0.290
4 As 0.878 0.649 0.790
5 I 0.018 0.982 0.250
6 I 0.193 0.323 0.637
7 I 0.323 0.193 0.137
8 I 0.677 0.807 0.863
9 I 0.807 0.677 0.363
10 I 0.982 0.018 0.750
11 Br 0.049 0.710 0.799
12 Br 0.135 0.523 0.271
13 Br 0.290 0.951 0.701
14 Br 0.477 0.865 0.229
15 Br 0.523 0.135 0.771
16 Br 0.710 0.049 0.299
17 Br 0.865 0.477 0.729
18 Br 0.951 0.290 0.201

Peak list (10 most intense, 15° ≤ 2θ ≤ 90°, sorted by position)
2theta, intensity
17.70, 34.5
19.17, 38.4
22.08, 82.0
22.64, 100.0
23.26, 31.4
26.49, 25.4
26.87, 27.5
31.75, 30.0
32.06, 25.8
33.44, 29.2

Record 2
This entry pairs a crystal structure of ZrCu2Pb with its computed powder diffraction line list. Radiation: copper Kα. Structure: a structure optimized by DFT (GGA-PBE).

Lattice parameters (Å, degrees): 4.261 4.261 4.012 90.00 90.00 90.10
Positions (direct):
1 Zr 0.000 0.000 0.000
2 Cu 0.000 0.500 0.500
3 Cu 0.500 0.000 0.500
4 Pb 0.500 0.500 0.000

Peak list (10 most intense, 15° ≤ 2θ ≤ 90°, sorted by position)
2theta, intensity
20.85, 13.0
22.16, 12.2
29.65, 12.0
30.61, 10.8
37.33, 100.0
42.43, 34.8
45.20, 14.5
63.72, 20.3
74.25, 25.9
78.21, 11.2

Record 3
This entry pairs a crystal structure of Tm2Mn2B2C with its computed powder diffraction line list. Radiation: copper Kα. Structure: a structure optimized by DFT (GGA-PBE).

Lattice parameters (Å, degrees): 5.353 5.353 6.351 123.20 123.20 38.01
Positions (direct):
1 Tm 0.070 0.070 0.321
2 Tm 0.930 0.930 0.679
3 Mn 0.294 0.294 0.911
4 Mn 0.706 0.706 0.089
5 B 0.323 0.323 0.264
6 B 0.677 0.677 0.736
7 C 0.500 0.500 0.000

Peak list (10 most intense, 15° ≤ 2θ ≤ 90°, sorted by position)
2theta, intensity
27.78, 93.1
28.15, 63.0
34.78, 69.4
36.08, 46.9
36.37, 41.3
37.12, 84.1
39.48, 100.0
40.44, 27.7
52.50, 27.4
64.51, 27.0

Record 4
This entry pairs a crystal structure of SrAl3Au6 with its computed powder diffraction line list. Radiation: copper Kα. Structure: a structure optimized by DFT (GGA-PBE).

Lattice parameters (Å, degrees): 6.167 6.200 6.227 70.67 74.27 70.25
Positions (direct):
1 Sr 0.000 0.000 0.000
2 Al 0.173 0.385 0.197
3 Al 0.301 0.613 0.477
4 Al 0.609 0.887 0.672
5 Au 0.466 0.262 0.814
6 Au 0.476 0.979 0.285
7 Au 0.519 0.570 0.072
8 Au 0.781 0.525 0.460
9 Au 0.978 0.557 0.830
10 Au 0.983 0.036 0.496

Peak list (10 most intense, 15° ≤ 2θ ≤ 90°, sorted by position)
2theta, intensity
19.46, 41.5
23.79, 45.7
29.73, 100.0
31.34, 97.7
31.80, 66.5
35.48, 69.4
39.08, 80.2
40.25, 56.1
41.35, 53.1
46.68, 38.4

Record 5
This entry pairs a crystal structure of Ta2NbAu2 with its computed powder diffraction line list. Radiation: copper Kα. Structure: a structure optimized by DFT (GGA-PBE).

Lattice parameters (Å, degrees): 14.718 14.718 14.718 169.18 161.06 21.86
Positions (direct):
1 Ta 0.275 0.025 0.250
2 Ta 0.370 0.120 0.250
3 Ta 0.630 0.880 0.750
4 Ta 0.725 0.975 0.750
5 Nb 0.177 0.427 0.750
6 Nb 0.823 0.573 0.250
7 Au 0.082 0.832 0.250
8 Au 0.457 0.707 0.750
9 Au 0.543 0.293 0.250
10 Au 0.918 0.168 0.750

Peak list (10 most intense, 15° ≤ 2θ ≤ 90°, sorted by position)
2theta, intensity
32.40, 18.6
37.13, 66.5
39.00, 99.7
39.11, 49.6
39.44, 100.0
49.25, 20.0
55.03, 37.0
68.19, 19.5
68.49, 19.9
80.80, 24.8

Record 6
This entry pairs a crystal structure of Ca3Pm4Te8 with its computed powder diffraction line list. Radiation: copper Kα. Structure: a structure optimized by DFT (GGA-PBE).

Lattice parameters (Å, degrees): 8.936 8.936 8.926 119.80 119.80 90.12
Positions (direct):
1 Ca 0.000 0.000 0.000
2 Ca 0.000 0.500 0.000
3 Ca 0.500 0.000 0.000
4 Pm 0.000 0.500 0.500
5 Pm 0.500 0.000 0.500
6 Pm 0.500 0.500 0.000
7 Pm 0.500 0.500 0.500
8 Te 0.246 0.246 0.500
9 Te 0.247 0.753 0.500
10 Te 0.249 0.751 0.000
11 Te 0.250 0.250 0.999
12 Te 0.750 0.750 0.001
13 Te 0.751 0.249 0.000
14 Te 0.753 0.247 0.500
15 Te 0.754 0.754 0.500

Peak list (10 most intense, 15° ≤ 2θ ≤ 90°, sorted by position)
2theta, intensity
28.17, 100.0
28.28, 49.5
40.25, 57.0
40.39, 56.3
49.84, 20.3
50.03, 20.1
65.92, 13.0
66.06, 21.5
66.18, 8.5
73.27, 18.9

Record 7
This entry pairs a crystal structure of AcPm6PrSm2 with its computed powder diffraction line list. Radiation: copper Kα. Structure: a structure optimized by DFT (GGA-PBE).

Lattice parameters (Å, degrees): 9.120 9.120 9.888 93.28 93.28 118.38
Positions (direct):
1 Ac 0.026 0.974 0.750
2 Ac 0.974 0.026 0.250
3 Pm 0.023 0.562 0.682
4 Pm 0.123 0.747 0.056
5 Pm 0.253 0.877 0.444
6 Pm 0.292 0.503 0.881
7 Pm 0.438 0.977 0.818
8 Pm 0.497 0.708 0.619
9 Pm 0.503 0.292 0.381
10 Pm 0.562 0.023 0.182
11 Pm 0.708 0.497 0.119
12 Pm 0.747 0.123 0.556
13 Pm 0.877 0.253 0.944
14 Pm 0.977 0.438 0.318
15 Pr 0.408 0.592 0.250
16 Pr 0.592 0.408 0.750
17 Sm 0.194 0.308 0.545
18 Sm 0.308 0.194 0.045
19 Sm 0.692 0.806 0.955
20 Sm 0.806 0.692 0.455

Peak list (10 most intense, 15° ≤ 2θ ≤ 90°, sorted by position)
2theta, intensity
27.42, 50.3
29.56, 37.5
29.84, 49.3
30.14, 100.0
30.59, 31.5
31.16, 21.7
32.80, 36.4
33.68, 12.4
54.22, 11.6
57.57, 19.7

Record 8
This entry pairs a crystal structure of MgGaMo with its computed powder diffraction line list. Radiation: copper Kα. Structure: a structure optimized by DFT (GGA-PBE).

Lattice parameters (Å, degrees): 6.801 5.639 5.334 76.54 53.74 49.71
Positions (direct):
1 Mg 0.186 0.814 0.186
2 Mg 0.814 0.186 0.814
3 Ga 0.281 0.281 0.719
4 Ga 0.719 0.719 0.281
5 Mo 0.250 0.250 0.250
6 Mo 0.750 0.750 0.750

Peak list (10 most intense, 15° ≤ 2θ ≤ 90°, sorted by position)
2theta, intensity
17.81, 100.0
33.30, 11.2
36.08, 26.7
38.89, 20.4
39.21, 32.2
43.08, 28.8
43.38, 68.8
54.08, 11.6
54.34, 17.8
69.92, 9.7

Number 6 is which compound? Ca3Pm4Te8